Diffraction record for CaLa3O. The powder X-ray diffraction pattern is simulated, not measured: it uses a structure optimized by DFT (GGA-PBE) and Cu Kα.

Largest 6 diffraction maxima, in order of rising 2θ, 2θ from 10° to 90°:
hkl 1 0 0, 2θ 16.9, I = 19; hkl 1 1 1, 2θ 29.5, I = 100; hkl 2 0 0, 2θ 34.2, I = 59; hkl 2 2 0, 2θ 49.2, I = 41; hkl 3 1 1, 2θ 58.5, I = 43; hkl 4 2 0, 2θ 82.4, I = 18

abc: 5.236 5.236 5.236
angles: 90.00 90.00 90.00
Space group Pm-3m (No. 221)
Symmetry-distinct sites (fractional):
Ca1 0.000 0.000 0.000 [1 per cell]
La1 0.000 0.500 0.500 [3 per cell]
O1 0.500 0.500 0.500 [1 per cell]